# 1
The following is a simulated PXRD pattern of Sr4PuTe5. It was derived from DFT lattice parameters and positions (PBE), using CuKα.

Structural model:
a b c (Å): 16.9762 16.9762 16.9762
angles (deg): 164.13 164.13 22.52
Fractional coordinates of all 10 atoms:
Sr (0.0992, 0.0992, 0.0000)
Sr (0.3009, 0.3009, 0.0000)
Sr (0.6991, 0.6991, 0.0000)
Sr (0.9008, 0.9008, 0.0000)
Pu (0.5000, 0.5000, 0.0000)
Te (0.0000, 0.0000, 0.0000)
Te (0.1997, 0.1997, 0.0000)
Te (0.4026, 0.4026, 0.0000)
Te (0.5974, 0.5974, 0.0000)
Te (0.8003, 0.8003, 0.0000)

Largest 10 diffraction maxima, in order of rising 2θ, 2θ = 5–70°:
5.31°, rel. 22; 26.77°, rel. 45; 26.90°, rel. 86; 38.35°, rel. 100; 47.44°, rel. 37; 62.42°, rel. 16; 62.62°, rel. 16; 62.68°, rel. 16; 69.22°, rel. 11; 69.41°, rel. 23



# 2
The following is a simulated PXRD pattern of SrPuTe2. It was derived from DFT lattice parameters and positions (PBE), using CuKα.

Structural model:
a b c (Å): 4.5708 4.5708 22.6295
angles (deg): 90.00 90.00 120.00
Fractional coordinates of all 12 atoms:
Sr (0.0000, 0.0000, 0.0000)
Sr (0.3333, 0.6667, 0.1761)
Sr (0.6667, 0.3333, 0.8239)
Pu (0.0000, 0.0000, 0.5000)
Pu (0.3333, 0.6667, 0.6551)
Pu (0.6667, 0.3333, 0.3449)
Te (0.0000, 0.0000, 0.2653)
Te (0.0000, 0.0000, 0.7347)
Te (0.3333, 0.6667, 0.4219)
Te (0.3333, 0.6667, 0.9117)
Te (0.6667, 0.3333, 0.0883)
Te (0.6667, 0.3333, 0.5781)

Largest 10 diffraction maxima, in order of rising 2θ, 2θ = 5–70°:
27.50°, rel. 100; 29.99°, rel. 11; 39.14°, rel. 33; 39.43°, rel. 40; 42.60°, rel. 8; 48.75°, rel. 22; 56.77°, rel. 11; 64.01°, rel. 11; 64.42°, rel. 18; 67.66°, rel. 6



# 3
The following is a simulated PXRD pattern of SrPuTl6. It was derived from DFT lattice parameters and positions (PBE), using CuKα.

Structural model:
a b c (Å): 4.8898 4.8898 9.7683
angles (deg): 90.00 90.00 90.00
Fractional coordinates of all 8 atoms:
Sr (0.0000, 0.0000, 0.0000)
Pu (0.0000, 0.0000, 0.5000)
Tl (0.0000, 0.5000, 0.2593)
Tl (0.0000, 0.5000, 0.7407)
Tl (0.5000, 0.0000, 0.2593)
Tl (0.5000, 0.0000, 0.7407)
Tl (0.5000, 0.5000, 0.0000)
Tl (0.5000, 0.5000, 0.5000)

Largest 10 diffraction maxima, in order of rising 2θ, 2θ = 5–70°:
9.05°, rel. 7; 20.31°, rel. 3; 31.71°, rel. 100; 36.77°, rel. 51; 37.95°, rel. 3; 52.99°, rel. 36; 60.67°, rel. 1; 63.08°, rel. 42; 66.23°, rel. 12; 67.00°, rel. 1